For Mg7C, a cell relaxed with GGA-PBE gives the calculated PXRD pattern in this record (Cu Ka).

Atomic structure:
a = 6.3009 Å, b = 6.3009 Å, c = 4.6124 Å
α = 90.00°, β = 90.00°, γ = 120.00°
Space group P-6m2 (No. 187)
Symmetry-distinct sites (fractional):
Mg 0.0000 0.0000 0.0000 [1 per cell]
Mg 0.1670 0.3339 0.5000 [3 per cell]
Mg 0.5132 0.0264 0.0000 [3 per cell]
C 0.6667 0.3333 0.5000 [1 per cell]

Largest 12 diffraction maxima, by intensity, 10° ≤ 2θ ≤ 90°:
| index | 2theta | intensity |
| --- | --- | --- |
| 2 0 1 | 38.3 | 100 |
| 2 0 0 | 32.8 | 26 |
| 0 0 2 | 39.1 | 21 |
| 2 2 0 | 58.6 | 17 |
| 2 2 2 | 72.7 | 17 |
| 2 0 3 | 70.3 | 15 |
| 2 0 2 | 51.9 | 13 |
| 4 0 1 | 72.2 | 13 |
| 1 0 1 | 25.3 | 6 |
| 4 0 2 | 82.1 | 3 |
| 0 0 4 | 83.9 | 3 |
| 2 1 0 | 43.9 | 3 |

---

For Mg2C3, a cell relaxed with GGA-PBE gives the calculated PXRD pattern in this record (Cu Ka).

Atomic structure:
a = 5.296 Å, b = 6.450 Å, c = 3.741 Å
α = 90.00°, β = 90.00°, γ = 90.00°
Space group Pnnm (No. 58)
Symmetry-distinct sites (fractional):
Mg 0.108 0.208 0.000 [4 per cell]
C 0.000 0.500 0.500 [2 per cell]
C 0.206 0.382 0.500 [4 per cell]

Largest 12 diffraction maxima, by intensity, 10° ≤ 2θ ≤ 90°:
| index | 2theta | intensity |
| --- | --- | --- |
| 0 1 1 | 27.6 | 100 |
| 2 1 0 | 36.7 | 64 |
| 1 2 1 | 40.7 | 62 |
| 3 1 1 | 59.7 | 31 |
| 0 0 2 | 48.7 | 27 |
| 2 1 2 | 62.5 | 24 |
| 1 0 1 | 29.2 | 20 |
| 1 3 1 | 52.0 | 19 |
| 2 2 1 | 50.9 | 18 |
| 1 1 1 | 32.4 | 17 |
| 1 3 0 | 45.5 | 13 |
| 0 3 1 | 48.9 | 13 |

---

What did the first record say?
For Mg7C, a cell relaxed with GGA-PBE gives the calculated PXRD pattern in this record (Cu Ka).

Atomic structure:
a = 6.3009 Å, b = 6.3009 Å, c = 4.6124 Å
α = 90.00°, β = 90.00°, γ = 120.00°
Space group P-6m2 (No. 187)
Symmetry-distinct sites (fractional):
Mg 0.0000 0.0000 0.0000 [1 per cell]
Mg 0.1670 0.3339 0.5000 [3 per cell]
Mg 0.5132 0.0264 0.0000 [3 per cell]
C 0.6667 0.3333 0.5000 [1 per cell]

Largest 12 diffraction maxima, by intensity, 10° ≤ 2θ ≤ 90°:
| index | 2theta | intensity |
| --- | --- | --- |
| 2 0 1 | 38.3 | 100 |
| 2 0 0 | 32.8 | 26 |
| 0 0 2 | 39.1 | 21 |
| 2 2 0 | 58.6 | 17 |
| 2 2 2 | 72.7 | 17 |
| 2 0 3 | 70.3 | 15 |
| 2 0 2 | 51.9 | 13 |
| 4 0 1 | 72.2 | 13 |
| 1 0 1 | 25.3 | 6 |
| 4 0 2 | 82.1 | 3 |
| 0 0 4 | 83.9 | 3 |
| 2 1 0 | 43.9 | 3 |

---

- Number 2 is which compound?
  Mg2C3